Diffraction record for CuTe2O7. The X-ray diffraction stick pattern is computed, not measured: it uses a PBE-relaxed structure and copper Kα.

Principal peaks in the range 10 to 80 degrees two-theta, in order of rising 2θ:
d = 7.245 Å, 12.22 deg, rel. 33, (1 1 0)
d = 4.931 Å, 17.99 deg, rel. 34, (1 0 -2)
d = 4.771 Å, 18.60 deg, rel. 48, (0 2 0)
d = 3.709 Å, 24.00 deg, rel. 100, (3 0 0)
d = 3.429 Å, 25.98 deg, rel. 76, (1 2 -2)
d = 3.312 Å, 26.92 deg, rel. 52, (0 1 3)
d = 2.926 Å, 30.56 deg, rel. 62, (2 2 2)
d = 2.245 Å, 40.16 deg, rel. 24, (4 2 -2)

Crystal structure
a = 11.163 Å, b = 9.543 Å, c = 10.626 Å
α = 90.00°, β = 94.37°, γ = 90.00°
Space group P2/c (No. 13)
Asymmetric unit:
Cu1 0.000 0.065 0.250
Cu2 0.304 0.437 0.910
Te1 0.022 0.215 0.542
Te2 0.334 0.288 0.207
Te3 0.338 0.255 0.622
O1 0.005 0.387 0.609
O2 0.017 0.216 0.131
O3 0.051 0.067 0.881
O4 0.190 0.156 0.562
O5 0.254 0.435 0.280
O6 0.305 0.289 0.032
O7 0.306 0.118 0.272
O8 0.326 0.283 0.794
O9 0.349 0.425 0.538
O10 0.450 0.130 0.583
O11 0.500 0.354 0.250



Diffraction record for YMg14AlO16. The X-ray diffraction stick pattern is computed, not measured: it uses a PBE-relaxed structure and copper Kα.

Principal peaks in the range 10 to 80 degrees two-theta, in order of rising 2θ:
d = 2.515 Å, 35.70 deg, rel. 51, (1 2 2)
d = 2.198 Å, 41.07 deg, rel. 100, (2 0 0)
d = 2.175 Å, 41.53 deg, rel. 95, (0 0 4)
d = 2.162 Å, 41.78 deg, rel. 92, (0 4 0)
d = 1.546 Å, 59.83 deg, rel. 56, (2 0 4)
d = 1.541 Å, 60.02 deg, rel. 55, (2 4 0)
d = 1.533 Å, 60.37 deg, rel. 53, (0 4 4)
d = 1.257 Å, 75.63 deg, rel. 49, (2 4 4)

Crystal structure
a = 4.396 Å, b = 8.648 Å, c = 8.698 Å
α = 90.00°, β = 90.00°, γ = 90.00°
Space group Pmmm (No. 47)
Asymmetric unit:
Y1 0.000 0.000 0.000
Mg1 0.000 0.000 0.500
Mg2 0.000 0.256 0.258
Mg3 0.000 0.500 0.500
Mg4 0.500 0.000 0.261
Mg5 0.500 0.251 0.500
Mg6 0.500 0.258 0.000
Mg7 0.500 0.500 0.253
Al1 0.000 0.500 0.000
O1 0.000 0.000 0.260
O2 0.000 0.252 0.500
O3 0.000 0.276 0.000
O4 0.000 0.500 0.244
O5 0.500 0.000 0.000
O6 0.500 0.000 0.500
O7 0.500 0.249 0.251
O8 0.500 0.500 0.000
O9 0.500 0.500 0.500



Diffraction record for Dy3Ga4Cu2. The X-ray diffraction stick pattern is computed, not measured: it uses a PBE-relaxed structure and copper Kα.

Principal peaks in the range 10 to 80 degrees two-theta, in order of rising 2θ:
d = 3.806 Å, 23.37 deg, rel. 29, (1 1 1)
d = 2.628 Å, 34.12 deg, rel. 21, (1 1 4)
d = 2.599 Å, 34.51 deg, rel. 75, (3 1 -3)
d = 2.577 Å, 34.81 deg, rel. 100, (1 1 -5)
d = 2.536 Å, 35.40 deg, rel. 31, (0 0 6)
d = 2.216 Å, 40.71 deg, rel. 47, (0 2 0)
d = 2.161 Å, 41.80 deg, rel. 66, (3 1 3)
d = 1.669 Å, 55.02 deg, rel. 21, (0 2 6)

Crystal structure
a = 10.335 Å, b = 4.433 Å, c = 15.836 Å
α = 90.00°, β = 106.10°, γ = 90.00°
Space group Cm (No. 8)
Asymmetric unit:
Dy1 0.000 0.000 0.000
Dy2 0.052 0.500 0.520
Dy3 0.168 0.500 0.334
Dy4 0.220 0.000 0.857
Dy5 0.334 0.000 0.667
Dy6 0.386 0.500 0.193
Ga1 0.014 0.500 0.855
Ga2 0.035 0.000 0.666
Ga3 0.157 0.500 0.724
Ga4 0.181 0.000 0.188
Ga5 0.201 0.500 0.000
Ga6 0.323 0.000 0.058
Ga7 0.348 0.500 0.522
Ga8 0.371 0.000 0.335
Cu1 0.072 0.500 0.133
Cu2 0.240 0.000 0.467
Cu3 0.405 0.500 0.800
Cu4 0.482 0.500 0.389